Entry 1:
Theoretical PXRD pattern
Compound: Li2Ni3O6
Radiation: Cu Kα X-rays
Structure: a DFT-relaxed cell (PBE+U, the Materials Project)

The 10 most intense peaks (10° ≤ 2θ ≤ 90°), sorted by position:
| 2θ (°) | I (rel.) |
| --- | --- |
| 18.2 | 100 |
| 35.9 | 15 |
| 37.0 | 15 |
| 37.6 | 11 |
| 38.7 | 8 |
| 43.2 | 20 |
| 44.2 | 18 |
| 45.3 | 17 |
| 56.7 | 6 |
| 57.7 | 5 |

```
data_Li2Ni3O6
_cell_length_a 2.877
_cell_length_b 5.853
_cell_length_c 6.535
_cell_angle_alpha 73.92
_cell_angle_beta 77.94
_cell_angle_gamma 87.48
_space_group_name_H-M_alt 'P -1'
_space_group_IT_number 2
loop_
_space_group_symop_operation_xyz
'x,y,z'
'-x,-y,-z'
loop_
_atom_site_label
_atom_site_type_symbol
_atom_site_fract_x
_atom_site_fract_y
_atom_site_fract_z
_atom_site_occupancy
Li1 Li 0.162 0.308 0.190 1
Ni1 Ni 0.159 0.832 0.169 1
Ni2 Ni 0.500 0.500 0.500 1
O1 O 0.009 0.285 0.517 1
O2 O 0.296 0.924 0.860 1
O3 O 0.385 0.416 0.806 1
```

---

Entry 2:
Theoretical PXRD pattern
Compound: Mn5Si4O14
Radiation: Cu Kα X-rays
Structure: a DFT-relaxed cell (PBE+U, the Materials Project)

The 10 most intense peaks (10° ≤ 2θ ≤ 90°), sorted by position:
| 2θ (°) | I (rel.) |
| --- | --- |
| 13.5 | 100 |
| 18.3 | 34 |
| 24.2 | 81 |
| 24.5 | 31 |
| 27.9 | 77 |
| 29.2 | 49 |
| 33.1 | 61 |
| 34.1 | 38 |
| 34.7 | 25 |
| 36.5 | 20 |

```
data_Mn5Si4O14
_cell_length_a 7.813
_cell_length_b 8.971
_cell_length_c 9.580
_cell_angle_alpha 103.65
_cell_angle_beta 99.40
_cell_angle_gamma 104.05
_space_group_name_H-M_alt 'P 1'
_space_group_IT_number 1
loop_
_space_group_symop_operation_xyz
'x,y,z'
loop_
_atom_site_label
_atom_site_type_symbol
_atom_site_fract_x
_atom_site_fract_y
_atom_site_fract_z
_atom_site_occupancy
Mn1 Mn 0.000 0.000 0.000 1
Mn2 Mn 0.018 0.564 0.361 1
Mn3 Mn 0.121 0.232 0.331 1
Mn4 Mn 0.390 0.375 0.868 1
Mn5 Mn 0.493 0.044 0.838 1
Mn6 Mn 0.512 0.608 0.200 1
Mn7 Mn 0.531 0.496 0.504 1
Mn8 Mn 0.620 0.728 0.824 1
Mn9 Mn 0.892 0.879 0.375 1
Mn10 Mn 0.981 0.111 0.695 1
Si1 Si 0.059 0.384 0.037 1
Si2 Si 0.177 0.494 0.670 1
Si3 Si 0.334 0.114 0.529 1
Si4 Si 0.454 0.224 0.162 1
Si5 Si 0.543 0.874 0.517 1
Si6 Si 0.667 0.987 0.151 1
Si7 Si 0.845 0.621 0.049 1
Si8 Si 0.969 0.734 0.683 1
O1 O 0.027 0.923 0.788 1
O2 O 0.041 0.397 0.210 1
O3 O 0.092 0.446 0.489 1
O4 O 0.112 0.072 0.493 1
O5 O 0.113 0.344 0.734 1
O6 O 0.118 0.651 0.748 1
O7 O 0.243 0.136 0.155 1
O8 O 0.270 0.472 0.044 1
O9 O 0.394 0.957 0.451 1
O10 O 0.396 0.263 0.463 1
O11 O 0.400 0.534 0.707 1
O12 O 0.419 0.163 0.710 1
O13 O 0.472 0.213 0.989 1
O14 O 0.485 0.684 0.411 1
O15 O 0.523 0.875 0.687 1
O16 O 0.532 0.416 0.261 1
O17 O 0.581 0.931 0.970 1
O18 O 0.594 0.133 0.229 1
O19 O 0.620 0.561 0.017 1
O20 O 0.622 0.835 0.219 1
O21 O 0.753 0.971 0.531 1
O22 O 0.759 0.636 0.669 1
O23 O 0.890 0.773 0.981 1
O24 O 0.892 0.047 0.182 1
O25 O 0.918 0.475 0.971 1
O26 O 0.930 0.675 0.229 1
O27 O 0.980 0.192 0.939 1
O28 O 0.990 0.732 0.512 1
```

---

Entry 3:
Theoretical PXRD pattern
Compound: Li7Co5O12
Radiation: Cu Kα X-rays
Structure: a DFT-relaxed cell (PBE+U, the Materials Project)

The 10 most intense peaks (10° ≤ 2θ ≤ 90°), sorted by position:
| 2θ (°) | I (rel.) |
| --- | --- |
| 10.0 | 9 |
| 11.9 | 14 |
| 18.5 | 100 |
| 36.3 | 13 |
| 36.3 | 25 |
| 43.9 | 53 |
| 44.2 | 25 |
| 57.8 | 11 |
| 64.0 | 14 |
| 64.1 | 14 |

```
data_Li7Co5O12
_cell_length_a 8.189
_cell_length_b 2.890
_cell_length_c 9.735
_cell_angle_alpha 90.00
_cell_angle_beta 114.71
_cell_angle_gamma 90.00
_space_group_name_H-M_alt 'P 1 2/m 1'
_space_group_IT_number 10
loop_
_space_group_symop_operation_xyz
'x,y,z'
'-x,-y,-z'
'-x,y,-z'
'x,-y,z'
loop_
_atom_site_label
_atom_site_type_symbol
_atom_site_fract_x
_atom_site_fract_y
_atom_site_fract_z
_atom_site_occupancy
Li1 Li 0.000 0.000 0.000 1
Li2 Li 0.000 0.500 0.500 1
Li3 Li 0.163 0.000 0.328 1
Li4 Li 0.321 0.500 0.164 1
Li5 Li 0.500 0.000 0.000 1
Co1 Co 0.159 0.500 0.837 1
Co2 Co 0.336 0.000 0.671 1
Co3 Co 0.500 0.500 0.500 1
O1 O 0.062 0.500 0.169 1
O2 O 0.098 0.000 0.688 1
O3 O 0.239 0.000 0.977 1
O4 O 0.261 0.500 0.510 1
O5 O 0.397 0.500 0.826 1
O6 O 0.425 0.000 0.338 1
```

---

Entry 4:
Theoretical PXRD pattern
Compound: Li9Mn2Co5O16
Radiation: Cu Kα X-rays
Structure: a DFT-relaxed cell (PBE+U, the Materials Project)

The 10 most intense peaks (10° ≤ 2θ ≤ 90°), sorted by position:
| 2θ (°) | I (rel.) |
| --- | --- |
| 18.4 | 100 |
| 35.9 | 28 |
| 36.5 | 12 |
| 43.4 | 57 |
| 44.4 | 26 |
| 47.9 | 9 |
| 57.3 | 11 |
| 63.3 | 8 |
| 63.4 | 15 |
| 64.2 | 14 |

```
data_Li9Mn2Co5O16
_cell_length_a 19.649
_cell_length_b 5.877
_cell_length_c 5.004
_cell_angle_alpha 90.00
_cell_angle_beta 100.73
_cell_angle_gamma 90.00
_space_group_name_H-M_alt 'C 1 2/m 1'
_space_group_IT_number 12
loop_
_space_group_symop_operation_xyz
'x,y,z'
'-x,-y,-z'
'-x,y,-z'
'x,-y,z'
'x+1/2,y+1/2,z'
'-x+1/2,-y+1/2,-z'
'-x+1/2,y+1/2,-z'
'x+1/2,-y+1/2,z'
loop_
_atom_site_label
_atom_site_type_symbol
_atom_site_fract_x
_atom_site_fract_y
_atom_site_fract_z
_atom_site_occupancy
Li1 Li 0.000 0.000 0.000 1
Li2 Li 0.123 0.000 0.760 1
Li3 Li 0.124 0.247 0.238 1
Li4 Li 0.124 0.500 0.759 1
Mn1 Mn 0.000 0.246 0.500 1
Co1 Co 0.000 0.500 0.000 1
Co2 Co 0.250 0.000 0.500 1
Co3 Co 0.250 0.250 0.000 1
O1 O 0.054 0.500 0.369 1
O2 O 0.055 0.265 0.860 1
O3 O 0.056 0.000 0.400 1
O4 O 0.191 0.000 0.134 1
O5 O 0.192 0.247 0.635 1
O6 O 0.192 0.500 0.135 1
```

---

Entry 5:
Theoretical PXRD pattern
Compound: MgV3O4F4
Radiation: Cu Kα X-rays
Structure: a DFT-relaxed cell (PBE+U, the Materials Project)

The 10 most intense peaks (10° ≤ 2θ ≤ 90°), sorted by position:
| 2θ (°) | I (rel.) |
| --- | --- |
| 18.1 | 66 |
| 20.2 | 29 |
| 20.4 | 100 |
| 25.8 | 40 |
| 32.8 | 34 |
| 34.6 | 41 |
| 35.8 | 29 |
| 39.4 | 44 |
| 44.5 | 29 |
| 55.9 | 27 |

```
data_MgV3O4F4
_cell_length_a 4.890
_cell_length_b 3.060
_cell_length_c 9.808
_cell_angle_alpha 90.00
_cell_angle_beta 90.45
_cell_angle_gamma 90.00
_space_group_name_H-M_alt 'P 1 m 1'
_space_group_IT_number 6
loop_
_space_group_symop_operation_xyz
'x,y,z'
'x,-y,z'
loop_
_atom_site_label
_atom_site_type_symbol
_atom_site_fract_x
_atom_site_fract_y
_atom_site_fract_z
_atom_site_occupancy
Mg1 Mg 0.000 0.000 0.000 1
V1 V 0.035 0.000 0.292 1
V2 V 0.412 0.000 0.746 1
V3 V 0.896 0.500 0.542 1
O1 O 0.081 0.000 0.643 1
O2 O 0.168 0.500 0.392 1
O3 O 0.585 0.500 0.664 1
O4 O 0.756 0.000 0.435 1
F1 F 0.173 0.500 0.888 1
F2 F 0.290 0.000 0.139 1
F3 F 0.656 0.000 0.907 1
F4 F 0.871 0.500 0.144 1
```

---

Entry 6:
Theoretical PXRD pattern
Compound: Fe4O5F3
Radiation: Cu Kα X-rays
Structure: a DFT-relaxed cell (PBE+U, the Materials Project)

The 10 most intense peaks (10° ≤ 2θ ≤ 90°), sorted by position:
| 2θ (°) | I (rel.) |
| --- | --- |
| 25.7 | 100 |
| 27.5 | 93 |
| 35.2 | 96 |
| 38.0 | 17 |
| 39.5 | 17 |
| 51.6 | 44 |
| 53.8 | 51 |
| 61.2 | 16 |
| 66.8 | 19 |
| 66.9 | 18 |

```
data_Fe4O5F3
_cell_length_a 4.746
_cell_length_b 7.697
_cell_length_c 7.704
_cell_angle_alpha 103.85
_cell_angle_beta 92.52
_cell_angle_gamma 92.36
_space_group_name_H-M_alt 'P 1'
_space_group_IT_number 1
loop_
_space_group_symop_operation_xyz
'x,y,z'
loop_
_atom_site_label
_atom_site_type_symbol
_atom_site_fract_x
_atom_site_fract_y
_atom_site_fract_z
_atom_site_occupancy
Fe1 Fe 0.000 0.000 0.000 1
Fe2 Fe 0.005 0.740 0.233 1
Fe3 Fe 0.032 0.504 0.493 1
Fe4 Fe 0.454 0.386 0.115 1
Fe5 Fe 0.507 0.879 0.618 1
Fe6 Fe 0.525 0.090 0.341 1
Fe7 Fe 0.544 0.609 0.847 1
Fe8 Fe 0.992 0.258 0.733 1
O1 O 0.186 0.528 0.268 1
O2 O 0.307 0.890 0.398 1
O3 O 0.313 0.403 0.877 1
O4 O 0.317 0.149 0.137 1
O5 O 0.327 0.658 0.643 1
O6 O 0.699 0.089 0.586 1
O7 O 0.703 0.591 0.077 1
O8 O 0.704 0.848 0.832 1
O9 O 0.824 0.957 0.209 1
O10 O 0.825 0.467 0.694 1
F1 F 0.194 0.033 0.770 1
F2 F 0.205 0.270 0.506 1
F3 F 0.207 0.776 0.014 1
F4 F 0.707 0.343 0.332 1
F5 F 0.805 0.714 0.459 1
F6 F 0.816 0.222 0.960 1
```

---

Entry 7:
Theoretical PXRD pattern
Compound: V2Fe3SnP6O24
Radiation: Cu Kα X-rays
Structure: a DFT-relaxed cell (PBE+U, the Materials Project)

The 10 most intense peaks (10° ≤ 2θ ≤ 90°), sorted by position:
| 2θ (°) | I (rel.) |
| --- | --- |
| 20.4 | 100 |
| 20.7 | 26 |
| 24.2 | 94 |
| 29.3 | 17 |
| 33.0 | 79 |
| 35.8 | 46 |
| 47.3 | 28 |
| 49.5 | 32 |
| 56.0 | 27 |
| 62.6 | 25 |

```
data_V2Fe3SnP6O24
_cell_length_a 8.6878
_cell_length_b 8.6878
_cell_length_c 20.8722
_cell_angle_alpha 90.00
_cell_angle_beta 90.00
_cell_angle_gamma 120.00
_space_group_name_H-M_alt 'R 3'
_space_group_IT_number 146
_space_group_name_Hall 'R 3'
loop_
_atom_site_label
_atom_site_type_symbol
_atom_site_fract_x
_atom_site_fract_y
_atom_site_fract_z
_atom_site_occupancy
V1 V 0.0000 0.0000 0.0000 1
V2 V 0.0000 0.0000 0.4957 1
Fe1 Fe 0.0000 0.0000 0.1456 1
Fe2 Fe 0.0000 0.0000 0.3519 1
Fe3 Fe 0.0000 0.0000 0.8534 1
Sn1 Sn 0.0000 0.0000 0.6441 1
P1 P 0.0012 0.3006 0.7503 1
P2 P 0.0406 0.6708 0.9158 1
O1 O 0.0073 0.2002 0.8091 1
O2 O 0.0079 0.8057 0.3099 1
O3 O 0.0121 0.1791 0.4241 1
O4 O 0.0147 0.8347 0.9245 1
O5 O 0.1290 0.4581 0.3541 1
O6 O 0.1399 0.6756 0.8550 1
O7 O 0.1659 0.6810 0.2397 1
O8 O 0.1668 0.4893 0.7417 1
```

---

Entry 8:
Theoretical PXRD pattern
Compound: K2Mo3O13
Radiation: Cu Kα X-rays
Structure: a DFT-relaxed cell (PBE+U, the Materials Project)

The 10 most intense peaks (10° ≤ 2θ ≤ 90°), sorted by position:
| 2θ (°) | I (rel.) |
| --- | --- |
| 15.0 | 41 |
| 20.2 | 35 |
| 23.4 | 43 |
| 25.1 | 41 |
| 27.3 | 95 |
| 28.7 | 100 |
| 29.2 | 51 |
| 31.0 | 56 |
| 32.4 | 49 |
| 38.6 | 34 |

```
data_K2Mo3O13
_cell_length_a 14.062
_cell_length_b 12.455
_cell_length_c 7.658
_cell_angle_alpha 90.00
_cell_angle_beta 90.00
_cell_angle_gamma 90.00
_space_group_name_H-M_alt 'C m c m'
_space_group_IT_number 63
_space_group_name_Hall '-C 2c 2'
loop_
_atom_site_label
_atom_site_type_symbol
_atom_site_fract_x
_atom_site_fract_y
_atom_site_fract_z
_atom_site_occupancy
K1 K 0.202 0.218 0.250 1
Mo1 Mo 0.000 0.331 0.750 1
Mo2 Mo 0.130 0.500 0.000 1
O1 O 0.000 0.275 0.250 1
O2 O 0.000 0.392 0.511 1
O3 O 0.044 0.008 0.250 1
O4 O 0.098 0.246 0.750 1
O5 O 0.101 0.480 0.750 1
O6 O 0.206 0.390 0.028 1
```